The following is a simulated powder XRD pattern of BaGaFe. It was derived from the GGA-PBE geometry in Alexandria, using Cu Kα (λ = 1.5418 Å).

Peak list (6 most intense, 10° ≤ 2θ ≤ 80°, in order of rising 2θ)
hkl 0 0 1, 10.12 deg, I 75; hkl 1 0 1, 22.48 deg, I 47; hkl 1 1 0, 28.46 deg, I 50; hkl 1 0 2, 28.68 deg, I 100; hkl 1 1 2, 35.23 deg, I 76; hkl 2 0 0, 40.69 deg, I 63

Atomic structure:
abc: 4.4348 4.4348 8.7398
angles: 90.00 90.00 90.00
Space group P4/nmm (No. 129, origin choice 2)
Unique sites:
Ba 0.2500 0.2500 0.2035 x2
Ga 0.2500 0.2500 0.6233 x2
Fe 0.2500 0.7500 0.5000 x2